[1]
Theoretical PXRD pattern of PrIn2Pt2 for λ = 1.5418 Å (Cu Kα), from a DFT-relaxed cell (GGA-PBE, the Materials Project).
Peak positions follow from Bragg's law for the DFT cell and can differ from measured ones.

Top 10 peaks for 2θ = 10–80°, low angle first:
2.798 Å, intensity 19
2.735 Å, intensity 22
2.702 Å, intensity 100
2.602 Å, intensity 18
2.553 Å, intensity 82
2.268 Å, intensity 69
2.255 Å, intensity 77
2.211 Å, intensity 25
2.163 Å, intensity 31
1.358 Å, intensity 21

Structural model:
```
data_PrIn2Pt2
_chemical_formula_sum 'Pr4 In8 Pt8'
_cell_length_a 10.373
_cell_length_b 4.536
_cell_length_c 10.393
_cell_angle_alpha 90.00
_cell_angle_beta 116.79
_cell_angle_gamma 90.00
_space_group_name_H-M_alt 'P 1 21/m 1'
_space_group_IT_number 11
loop_
_space_group_symop_operation_xyz
'x,y,z'
'-x,-y,-z'
'-x,y+1/2,-z'
'x,-y+1/2,z'
loop_
_atom_site_label
_atom_site_type_symbol
_atom_site_fract_x
_atom_site_fract_y
_atom_site_fract_z
Pr1 Pr 0.048 0.250 0.290
Pr2 Pr 0.401 0.250 0.210
In1 In 0.119 0.750 0.075
In2 In 0.227 0.750 0.604
In3 In 0.355 0.750 0.947
In4 In 0.406 0.250 0.541
Pt1 Pt 0.070 0.250 0.600
Pt2 Pt 0.157 0.250 0.919
Pt3 Pt 0.295 0.750 0.368
Pt4 Pt 0.374 0.250 0.797
```

***

[2]
Theoretical PXRD pattern of Pr5In4Pt2 for λ = 1.5418 Å (Cu Kα), from a DFT-relaxed cell (GGA-PBE, the Materials Project).
Peak positions follow from Bragg's law for the DFT cell and can differ from measured ones.

Top 10 peaks for 2θ = 10–80°, low angle first:
5.049 Å, intensity 18
2.810 Å, intensity 69
2.717 Å, intensity 100
2.691 Å, intensity 34
2.587 Å, intensity 27
2.574 Å, intensity 38
2.566 Å, intensity 60
2.524 Å, intensity 22
1.919 Å, intensity 28
1.538 Å, intensity 29

Structural model:
```
data_Pr5In4Pt2
_chemical_formula_sum 'Pr10 In8 Pt4'
_cell_length_a 8.420
_cell_length_b 18.925
_cell_length_c 3.837
_cell_angle_alpha 90.00
_cell_angle_beta 90.00
_cell_angle_gamma 90.00
_space_group_name_H-M_alt 'P b a m'
_space_group_IT_number 55
loop_
_space_group_symop_operation_xyz
'x,y,z'
'-x,-y,-z'
'-x,-y,z'
'x,y,-z'
'x+1/2,-y+1/2,-z'
'-x+1/2,y+1/2,z'
'-x+1/2,y+1/2,-z'
'x+1/2,-y+1/2,z'
loop_
_atom_site_label
_atom_site_type_symbol
_atom_site_fract_x
_atom_site_fract_y
_atom_site_fract_z
Pr1 Pr 0.000 0.000 0.000
Pr2 Pr 0.116 0.413 0.000
Pr3 Pr 0.245 0.219 0.000
In1 In 0.074 0.848 0.500
In2 In 0.207 0.568 0.500
Pt1 Pt 0.022 0.302 0.500
```

***

[3]
Theoretical PXRD pattern of Pr32In3Rh19 for λ = 1.5418 Å (Cu Kα), from a DFT-relaxed cell (GGA-PBE, the Materials Project).
Peak positions follow from Bragg's law for the DFT cell and can differ from measured ones.

Top 10 peaks for 2θ = 10–80°, low angle first:
2.932 Å, intensity 42
2.789 Å, intensity 60
2.775 Å, intensity 86
2.680 Å, intensity 44
2.652 Å, intensity 45
2.638 Å, intensity 49
2.625 Å, intensity 53
2.526 Å, intensity 41
2.516 Å, intensity 100
2.505 Å, intensity 96

Structural model:
```
data_Pr32In3Rh19
_chemical_formula_sum 'Pr64 In6 Rh38'
_cell_length_a 10.103
_cell_length_b 16.973
_cell_length_c 16.754
_cell_angle_alpha 90.00
_cell_angle_beta 90.00
_cell_angle_gamma 90.00
_space_group_name_H-M_alt 'A m m 2'
_space_group_IT_number 38
loop_
_space_group_symop_operation_xyz
'x,y,z'
'-x,-y,z'
'-x,y,z'
'x,-y,z'
'x,y+1/2,z+1/2'
'-x,-y+1/2,z+1/2'
'-x,y+1/2,z+1/2'
'x,-y+1/2,z+1/2'
loop_
_atom_site_label
_atom_site_type_symbol
_atom_site_fract_x
_atom_site_fract_y
_atom_site_fract_z
Pr1 Pr 0.000 0.000 0.028
Pr2 Pr 0.000 0.000 0.316
Pr3 Pr 0.000 0.143 0.671
Pr4 Pr 0.193 0.186 0.277
Pr5 Pr 0.194 0.188 0.066
Pr6 Pr 0.196 0.106 0.484
Pr7 Pr 0.197 0.106 0.858
Pr8 Pr 0.299 0.000 0.664
Pr9 Pr 0.307 0.000 0.171
Pr10 Pr 0.500 0.105 0.353
Pr11 Pr 0.500 0.113 0.000
Pr12 Pr 0.500 0.178 0.565
Pr13 Pr 0.500 0.194 0.779
In1 In 0.000 0.250 0.421
In2 In 0.500 0.000 0.833
Rh1 Rh 0.000 0.000 0.569
Rh2 Rh 0.000 0.000 0.775
Rh3 Rh 0.000 0.102 0.171
Rh4 Rh 0.276 0.177 0.672
Rh5 Rh 0.277 0.000 0.348
Rh6 Rh 0.281 0.000 0.993
Rh7 Rh 0.342 0.249 0.422
Rh8 Rh 0.500 0.000 0.516
Rh9 Rh 0.500 0.156 0.172
```

***

[4]
Theoretical PXRD pattern of PrInRh for λ = 1.5418 Å (Cu Kα), from a DFT-relaxed cell (GGA-PBE, the Materials Project).
Peak positions follow from Bragg's law for the DFT cell and can differ from measured ones.

Top 10 peaks for 2θ = 10–80°, low angle first:
2.800 Å, intensity 100
2.579 Å, intensity 98
2.508 Å, intensity 53
2.212 Å, intensity 32
2.140 Å, intensity 27
2.051 Å, intensity 28
1.679 Å, intensity 18
1.588 Å, intensity 26
1.504 Å, intensity 19
1.427 Å, intensity 31

Structural model:
```
data_PrInRh
_chemical_formula_sum 'Pr3 In3 Rh3'
_cell_length_a 7.6620
_cell_length_b 7.6620
_cell_length_c 4.1013
_cell_angle_alpha 90.00
_cell_angle_beta 90.00
_cell_angle_gamma 120.00
_space_group_name_H-M_alt 'P -6 2 m'
_space_group_IT_number 189
_space_group_name_Hall 'P -6 -2'
loop_
_atom_site_label
_atom_site_type_symbol
_atom_site_fract_x
_atom_site_fract_y
_atom_site_fract_z
Pr1 Pr 0.0000 0.5888 0.0000
In1 In 0.0000 0.2494 0.5000
Rh1 Rh 0.0000 0.0000 0.0000
Rh2 Rh 0.3333 0.6667 0.5000
```